(1)
Theoretical X-ray powder pattern
Compound: WO3
Radiation: Cu Kα X-rays
Structure: the GGA+U geometry in the Materials Project
Peak positions follow from Bragg's law for the DFT cell and can differ from measured ones.

Most intense lines, 2θ = 15–90°, in order of rising 2θ:
hkl	d (Å)	Rel. int.
2 1 0	5.522	52
3 1 0	3.905	83
0 0 1	3.879	100
3 2 0	3.425	53
4 1 0	2.995	46
3 1 1	2.752	44
3 2 1	2.567	33
4 1 1	2.371	32
5 5 0	1.745	55
5 5 1	1.592	36

Structural model:
a b c (Å): 12.3484 12.3484 3.8794
angles (deg): 90.00 90.00 90.00
Space group P-42_1m (No. 113)
Symmetry-distinct sites (fractional):
1 W 0.0000 0.5000 0.0422 (multiplicity 2)
2 W 0.0773 0.7930 0.9804 (multiplicity 8)
3 O 0.0000 0.5000 0.5162 (multiplicity 2)
4 O 0.0038 0.6554 0.0049 (multiplicity 8)
5 O 0.0671 0.1424 0.9992 (multiplicity 8)
6 O 0.0775 0.7931 0.4979 (multiplicity 8)
7 O 0.2132 0.7132 0.0001 (multiplicity 4)

(2)
Theoretical X-ray powder pattern
Compound: WO3
Radiation: Cu Kα X-rays
Structure: the GGA+U geometry in the Materials Project
Peak positions follow from Bragg's law for the DFT cell and can differ from measured ones.

Most intense lines, 2θ = 15–90°, in order of rising 2θ:
hkl	d (Å)	Rel. int.
0 0 2	3.853	100
0 2 0	3.817	98
2 0 -2	3.784	99
2 0 0	2.713	81
2 2 -2	2.686	82
2 2 0	2.213	21
2 2 -4	2.196	22
2 0 -6	1.710	25
4 0 -2	1.705	28
4 2 -2	1.557	21

Structural model:
a b c (Å): 7.5683 7.6347 10.7371
angles (deg): 90.00 134.13 90.00
Space group P2_1/c (No. 14)
Symmetry-distinct sites (fractional):
1 W 0.0154 0.0146 0.2681 (multiplicity 4)
2 W 0.4802 0.5170 0.7330 (multiplicity 4)
3 O 0.0041 0.7432 0.7219 (multiplicity 4)
4 O 0.2188 0.0339 0.2181 (multiplicity 4)
5 O 0.2191 0.0356 0.7191 (multiplicity 4)
6 O 0.2779 0.5332 0.4958 (multiplicity 4)
7 O 0.2856 0.5131 0.0034 (multiplicity 4)
8 O 0.4799 0.7428 0.2677 (multiplicity 4)

(3)
Theoretical X-ray powder pattern
Compound: WO3
Radiation: Cu Kα X-rays
Structure: the GGA+U geometry in the Materials Project
Peak positions follow from Bragg's law for the DFT cell and can differ from measured ones.

Most intense lines, 2θ = 15–90°, in order of rising 2θ:
hkl	d (Å)	Rel. int.
1 0 0	3.887	100
0 2 0	3.838	51
1 0 2	2.748	26
1 2 0	2.731	54
1 2 2	2.235	19
0 4 0	1.919	10
2 0 2	1.736	17
1 4 0	1.721	20
2 2 2	1.582	9
1 4 2	1.573	10

Structural model:
a b c (Å): 3.8803 7.6759 7.7884
angles (deg): 90.00 90.08 90.00
Space group P2_1/m (No. 11)
Symmetry-distinct sites (fractional):
1 W 0.0300 0.2500 0.4791 (multiplicity 2)
2 W 0.0323 0.2500 0.9790 (multiplicity 2)
3 O 0.0000 0.0000 0.0000 (multiplicity 2)
4 O 0.0000 0.0000 0.5000 (multiplicity 2)
5 O 0.0036 0.2500 0.2426 (multiplicity 2)
6 O 0.0060 0.2500 0.7428 (multiplicity 2)
7 O 0.4905 0.7500 0.0078 (multiplicity 2)
8 O 0.4922 0.7500 0.5080 (multiplicity 2)

(4)
Theoretical X-ray powder pattern
Compound: WO3
Radiation: Cu Kα X-rays
Structure: the GGA+U geometry in the Materials Project
Peak positions follow from Bragg's law for the DFT cell and can differ from measured ones.

Most intense lines, 2θ = 15–90°, in order of rising 2θ:
hkl	d (Å)	Rel. int.
0 2 0	3.886	92
0 0 2	3.868	91
2 0 0	3.838	92
0 2 2	2.741	48
2 0 2	2.727	100
2 2 2	2.231	36
4 0 0	1.919	18
2 4 0	1.735	33
4 0 2	1.720	37
4 2 2	1.572	20

Structural model:
a b c (Å): 7.6757 7.7713 7.7354
angles (deg): 90.00 90.00 90.00
Space group Pbcn (No. 60)
Symmetry-distinct sites (fractional):
1 W 0.2493 0.2343 0.0163 (multiplicity 8)
2 O 0.9999 0.2424 0.5129 (multiplicity 8)
3 O 0.2371 0.2453 0.2564 (multiplicity 8)
4 O 0.2424 0.4966 0.0034 (multiplicity 8)

(5)
Theoretical X-ray powder pattern
Compound: WO3
Radiation: Cu Kα X-rays
Structure: the GGA+U geometry in the Materials Project
Peak positions follow from Bragg's law for the DFT cell and can differ from measured ones.

Most intense lines, 2θ = 15–90°, in order of rising 2θ:
hkl	d (Å)	Rel. int.
0 0 2	3.835	100
2 0 0	3.783	50
0 2 2	2.734	14
2 0 2	2.709	29
0 2 -2	2.690	13
2 0 -2	2.677	27
2 -2 2	2.192	11
4 0 0	1.892	9
4 0 2	1.705	19
4 0 -2	1.689	10

Structural model:
a b c (Å): 7.5677 7.6591 7.6823
angles (deg): 89.07 89.32 89.31
Space group P-1 (No. 2)
Symmetry-distinct sites (fractional):
1 W 0.2477 0.0156 0.2672 (multiplicity 2)
2 W 0.2502 0.5167 0.2334 (multiplicity 2)
3 W 0.2501 0.5188 0.7350 (multiplicity 2)
4 W 0.2522 0.0183 0.7654 (multiplicity 2)
5 O 0.9999 0.0314 0.7153 (multiplicity 2)
6 O 0.0014 0.4696 0.7844 (multiplicity 2)
7 O 0.2145 0.0356 0.0033 (multiplicity 2)
8 O 0.2161 0.5351 0.4970 (multiplicity 2)
9 O 0.2184 0.7577 0.7755 (multiplicity 2)
10 O 0.2193 0.2573 0.2752 (multiplicity 2)
11 O 0.2812 0.2578 0.7252 (multiplicity 2)
12 O 0.2816 0.7575 0.2240 (multiplicity 2)
13 O 0.2849 0.4847 0.9963 (multiplicity 2)
14 O 0.2859 0.9848 0.5036 (multiplicity 2)
15 O 0.4980 0.4677 0.2845 (multiplicity 2)
16 O 0.4999 0.0297 0.2135 (multiplicity 2)

(6)
Theoretical X-ray powder pattern
Compound: W2O7
Radiation: Cu Kα X-rays
Structure: the GGA+U geometry in the Materials Project
Peak positions follow from Bragg's law for the DFT cell and can differ from measured ones.

Most intense lines, 2θ = 15–90°, in order of rising 2θ:
hkl	d (Å)	Rel. int.
3 1 1	3.136	100
2 2 2	3.003	100
4 0 0	2.600	31
3 3 1	2.386	22
3 3 3	2.002	33
4 4 0	1.839	45
5 3 1	1.758	31
6 2 2	1.568	45
5 5 1	1.457	21
7 3 1	1.354	24

Structural model:
a b c (Å): 10.4019 10.4019 10.4019
angles (deg): 90.00 90.00 90.00
Space group Fd-3m (No. 227, origin choice 2)
Symmetry-distinct sites (fractional):
1 W 0.0000 0.0000 0.0000 (multiplicity 16)
2 O 0.0589 0.3750 0.3750 (multiplicity 48)
3 O 0.1250 0.1250 0.6250 (multiplicity 8)

(7)
Theoretical X-ray powder pattern
Compound: WO5
Radiation: Cu Kα X-rays
Structure: the GGA+U geometry in the Materials Project
Peak positions follow from Bragg's law for the DFT cell and can differ from measured ones.

Most intense lines, 2θ = 15–90°, in order of rising 2θ:
hkl	d (Å)	Rel. int.
0 1 1	3.804	30
1 1 -1	3.564	65
1 0 -4	3.290	54
1 1 1	3.251	100
0 1 3	2.858	49
2 1 -1	2.845	49
2 0 2	2.787	25
3 0 0	2.514	38
2 0 -6	2.158	25
1 1 -7	1.688	29

Structural model:
a b c (Å): 8.1086 4.0015 13.1719
angles (deg): 90.00 111.54 90.00
Space group P2_1/c (No. 14)
Symmetry-distinct sites (fractional):
1 W 0.1697 0.0662 0.3128 (multiplicity 4)
2 O 0.0944 0.5613 0.2831 (multiplicity 4)
3 O 0.1837 0.0502 0.4479 (multiplicity 4)
4 O 0.2291 0.0390 0.1737 (multiplicity 4)
5 O 0.4263 0.2419 0.3529 (multiplicity 4)
6 O 0.4307 0.5955 0.8556 (multiplicity 4)